Record 1
# Ho2AlCd
Theoretical powder X-ray diffraction pattern, Cu Ka. Input: a structure optimized by DFT (GGA-PBE).

The 10 most intense peaks (15° ≤ 2θ ≤ 90°), in order of rising 2θ:
2theta  intensity
21.00  8
24.29  19
34.62  100
40.84  4
42.74  6
49.77  18
56.13  8
62.04  36
73.03  11
83.41  16

Crystal structure
Unit cell a=7.329 b=7.329 c=7.329 alpha=90.00 beta=90.00 gamma=90.00
Element x y z (fractional)
Ho: 0.250 0.250 0.250
Ho: 0.250 0.250 0.750
Ho: 0.250 0.750 0.250
Ho: 0.250 0.750 0.750
Ho: 0.750 0.250 0.250
Ho: 0.750 0.250 0.750
Ho: 0.750 0.750 0.250
Ho: 0.750 0.750 0.750
Al: 0.000 0.000 0.000
Al: 0.000 0.500 0.500
Al: 0.500 0.000 0.500
Al: 0.500 0.500 0.000
Cd: 0.000 0.000 0.500
Cd: 0.000 0.500 0.000
Cd: 0.500 0.000 0.000
Cd: 0.500 0.500 0.500

Record 2
# Mg6AlCd
Theoretical powder X-ray diffraction pattern, Cu Ka. Input: a structure optimized by DFT (GGA-PBE).

The 10 most intense peaks (15° ≤ 2θ ≤ 90°), in order of rising 2θ:
2theta  intensity
16.15  42
16.37  24
17.65  20
24.02  37
24.17  18
32.64  30
35.74  37
37.34  100
37.75  48
49.17  18

Crystal structure
Unit cell a=5.024 b=6.365 c=10.827 alpha=90.00 beta=90.00 gamma=90.00
Element x y z (fractional)
Mg: 0.000 0.000 0.000
Mg: 0.000 0.000 0.498
Mg: 0.000 0.247 0.246
Mg: 0.000 0.253 0.746
Mg: 0.000 0.500 0.500
Mg: 0.000 0.500 0.998
Mg: 0.000 0.747 0.746
Mg: 0.000 0.753 0.246
Mg: 0.500 0.250 0.415
Mg: 0.500 0.250 0.915
Mg: 0.500 0.750 0.415
Mg: 0.500 0.750 0.915
Al: 0.500 0.000 0.164
Al: 0.500 0.500 0.664
Cd: 0.500 0.000 0.664
Cd: 0.500 0.500 0.164

Record 3
# Mg16Al12Cd
Theoretical powder X-ray diffraction pattern, Cu Ka. Input: a structure optimized by DFT (GGA-PBE).

The 10 most intense peaks (15° ≤ 2θ ≤ 90°), in order of rising 2θ:
2theta  intensity
20.60  11
31.71  15
36.09  100
40.05  23
41.92  15
43.71  9
47.14  8
62.16  13
64.89  27
77.81  7

Crystal structure
Unit cell a=9.144 b=9.144 c=9.144 alpha=109.47 beta=109.47 gamma=109.47
Element x y z (fractional)
Mg: 0.000 0.000 0.339
Mg: 0.000 0.314 0.599
Mg: 0.000 0.339 0.000
Mg: 0.000 0.599 0.314
Mg: 0.286 0.686 0.686
Mg: 0.314 0.000 0.599
Mg: 0.314 0.599 0.000
Mg: 0.339 0.000 0.000
Mg: 0.401 0.401 0.714
Mg: 0.401 0.714 0.401
Mg: 0.599 0.000 0.314
Mg: 0.599 0.314 0.000
Mg: 0.661 0.661 0.661
Mg: 0.686 0.286 0.686
Mg: 0.686 0.686 0.286
Mg: 0.714 0.401 0.401
Al: 0.000 0.631 0.814
Al: 0.000 0.814 0.631
Al: 0.183 0.369 0.369
Al: 0.186 0.186 0.817
Al: 0.186 0.817 0.186
Al: 0.369 0.183 0.369
Al: 0.369 0.369 0.183
Al: 0.631 0.000 0.814
Al: 0.631 0.814 0.000
Al: 0.814 0.000 0.631
Al: 0.814 0.631 0.000
Al: 0.817 0.186 0.186
Cd: 0.000 0.000 0.000

Record 4
# Mg6AlCd
Theoretical powder X-ray diffraction pattern, Cu Ka. Input: a structure optimized by DFT (GGA-PBE).

The 10 most intense peaks (15° ≤ 2θ ≤ 90°), in order of rising 2θ:
2theta  intensity
16.27  68
17.48  19
23.97  56
32.94  28
35.39  38
37.36  49
37.53  100
49.12  18
64.94  19
70.33  19

Crystal structure
Unit cell a=5.073 b=6.268 c=10.938 alpha=90.00 beta=90.00 gamma=90.00
Element x y z (fractional)
Mg: 0.000 0.000 0.000
Mg: 0.000 0.247 0.748
Mg: 0.000 0.253 0.248
Mg: 0.000 0.500 0.500
Mg: 0.000 0.747 0.248
Mg: 0.000 0.753 0.748
Mg: 0.500 0.000 0.166
Mg: 0.500 0.250 0.417
Mg: 0.500 0.250 0.917
Mg: 0.500 0.500 0.666
Mg: 0.500 0.750 0.417
Mg: 0.500 0.750 0.917
Al: 0.500 0.000 0.669
Al: 0.500 0.500 0.169
Cd: 0.000 0.000 0.499
Cd: 0.000 0.500 0.999

Record 5
# Mg16Al12Cd
Theoretical powder X-ray diffraction pattern, Cu Ka. Input: a structure optimized by DFT (GGA-PBE).

The 10 most intense peaks (15° ≤ 2θ ≤ 90°), in order of rising 2θ:
2theta  intensity
20.69  25
34.05  21
36.03  100
36.20  88
36.30  74
36.38  17
40.19  21
40.30  35
43.95  19
65.24  24

Crystal structure
Unit cell a=9.091 b=9.091 c=9.115 alpha=109.30 beta=109.30 gamma=109.18
Element x y z (fractional)
Mg: 0.000 0.000 0.000
Mg: 0.000 0.348 0.998
Mg: 0.001 0.001 0.344
Mg: 0.001 0.317 0.603
Mg: 0.004 0.603 0.319
Mg: 0.292 0.684 0.686
Mg: 0.317 0.001 0.603
Mg: 0.322 0.602 0.002
Mg: 0.348 0.000 0.998
Mg: 0.403 0.717 0.402
Mg: 0.602 0.322 0.002
Mg: 0.603 0.004 0.319
Mg: 0.655 0.655 0.663
Mg: 0.684 0.292 0.686
Mg: 0.690 0.690 0.292
Mg: 0.717 0.403 0.402
Al: 0.003 0.816 0.636
Al: 0.005 0.635 0.819
Al: 0.182 0.369 0.364
Al: 0.184 0.184 0.821
Al: 0.190 0.821 0.188
Al: 0.369 0.182 0.364
Al: 0.369 0.369 0.182
Al: 0.635 0.005 0.819
Al: 0.639 0.823 0.007
Al: 0.816 0.003 0.636
Al: 0.821 0.190 0.188
Al: 0.823 0.639 0.007
Cd: 0.388 0.388 0.706

Record 6
# Mg16Al12Cd
Theoretical powder X-ray diffraction pattern, Cu Ka. Input: a structure optimized by DFT (GGA-PBE).

The 10 most intense peaks (15° ≤ 2θ ≤ 90°), in order of rising 2θ:
2theta  intensity
20.68  23
31.88  18
34.00  24
35.96  100
36.15  85
36.28  95
40.25  47
43.46  18
65.09  20
65.24  17

Crystal structure
Unit cell a=9.107 b=9.107 c=9.107 alpha=109.22 beta=109.22 gamma=109.22
Element x y z (fractional)
Mg: 0.000 0.000 0.000
Mg: 0.000 0.000 0.654
Mg: 0.000 0.654 0.000
Mg: 0.290 0.597 0.597
Mg: 0.314 0.314 0.711
Mg: 0.314 0.711 0.314
Mg: 0.400 0.680 0.998
Mg: 0.400 0.998 0.680
Mg: 0.597 0.290 0.597
Mg: 0.597 0.597 0.290
Mg: 0.654 0.000 0.000
Mg: 0.680 0.400 0.998
Mg: 0.680 0.998 0.400
Mg: 0.711 0.314 0.314
Mg: 0.998 0.400 0.680
Mg: 0.998 0.680 0.400
Al: 0.181 0.365 0.994
Al: 0.181 0.994 0.365
Al: 0.185 0.814 0.814
Al: 0.365 0.181 0.994
Al: 0.365 0.994 0.181
Al: 0.638 0.638 0.825
Al: 0.638 0.825 0.638
Al: 0.814 0.185 0.814
Al: 0.814 0.814 0.185
Al: 0.825 0.638 0.638
Al: 0.994 0.181 0.365
Al: 0.994 0.365 0.181
Cd: 0.334 0.334 0.334